1.
Structure and theoretical PXRD pattern of HfNi3H (a DFT-relaxed cell (PBE, Alexandria); CuKα).
Neutral-atom scattering factors, no anomalous dispersion.

Most intense lines, 10 to 90 degrees two-theta, by intensity:
(2 0 2), 41.6 deg, d 2.173, I = 100; (0 2 4), 47.7 deg, d 1.906, I = 66; (0 0 6), 39.3 deg, d 2.293, I = 39; (0 1 2), 23.3 deg, d 3.813, I = 39; (2 2 6), 84.6 deg, d 1.146, I = 27; (2 0 8), 68.2 deg, d 1.375, I = 21; (2 2 0), 71.3 deg, d 1.322, I = 19; (1 0 4), 32.6 deg, d 2.750, I = 17; (1 1 0), 33.9 deg, d 2.645, I = 16; (0 2 10), 81.6 deg, d 1.179, I = 13

Structure:
```
data_HfNi3H
_symmetry_space_group_name_H-M 'R 3 m'
_symmetry_Int_Tables_number 160
_symmetry_space_group_name_Hall 'R 3 -2"'
_cell_length_a 5.2893
_cell_length_b 5.2893
_cell_length_c 13.7579
_cell_angle_alpha 90.00
_cell_angle_beta 90.00
_cell_angle_gamma 120.00
loop_
_atom_site_label
_atom_site_type_symbol
_atom_site_fract_x
_atom_site_fract_y
_atom_site_fract_z
Hf1 Hf 0.0000 0.0000 0.0000
Hf2 Hf 0.0000 0.0000 0.4966
Ni1 Ni 0.0067 0.5034 0.9962
Ni2 Ni 0.0147 0.5074 0.5040
H1 H 0.0000 0.0000 0.1489
H2 H 0.0000 0.0000 0.7101
```

---

2.
Structure and theoretical PXRD pattern of PmPr3Sn3 (a DFT-relaxed cell (PBE, Alexandria); CuKα).
Neutral-atom scattering factors, no anomalous dispersion.

Most intense lines, 10 to 90 degrees two-theta, by intensity:
(1 3 -2), 31.3 deg, d 2.857, I = 100; (2 2 2), 33.3 deg, d 2.689, I = 75; (3 1 0), 30.6 deg, d 2.922, I = 50; (1 3 -1), 24.6 deg, d 3.619, I = 32; (2 2 -1), 26.0 deg, d 3.427, I = 30; (0 6 0), 40.0 deg, d 2.254, I = 25; (0 4 1), 28.7 deg, d 3.112, I = 25; (3 5 0), 45.2 deg, d 2.006, I = 22; (1 1 4), 47.5 deg, d 1.913, I = 22; (3 3 -1), 37.5 deg, d 2.399, I = 21

Structure:
```
data_PmPr3Sn3
_symmetry_space_group_name_H-M 'C 1 2/m 1'
_symmetry_Int_Tables_number 12
_symmetry_space_group_name_Hall '-C 2y'
_cell_length_a 8.983
_cell_length_b 13.521
_cell_length_c 7.983
_cell_angle_alpha 90.00
_cell_angle_beta 92.00
_cell_angle_gamma 90.00
loop_
_atom_site_label
_atom_site_type_symbol
_atom_site_fract_x
_atom_site_fract_y
_atom_site_fract_z
Pm1 Pm 0.209 0.000 0.094
Pr1 Pr 0.000 0.278 0.000
Pr2 Pr 0.000 0.349 0.500
Pr3 Pr 0.134 0.000 0.634
Sn1 Sn 0.051 0.500 0.190
Sn2 Sn 0.165 0.175 0.321
```

---

3.
Structure and theoretical PXRD pattern of La3TcN6 (a DFT-relaxed cell (PBE, Alexandria); CuKα).
Neutral-atom scattering factors, no anomalous dispersion.

Most intense lines, 10 to 90 degrees two-theta, by intensity:
(1 1 -3), 30.2 deg, d 2.956, I = 100; (1 1 1), 29.6 deg, d 3.017, I = 71; (0 2 0), 29.1 deg, d 3.067, I = 30; (2 2 -2), 42.5 deg, d 2.126, I = 27; (2 0 2), 52.9 deg, d 1.732, I = 22; (0 0 4), 43.1 deg, d 2.099, I = 16; (3 1 -5), 54.1 deg, d 1.694, I = 14; (3 1 -1), 53.0 deg, d 1.727, I = 14; (2 2 2), 61.5 deg, d 1.508, I = 11; (1 3 -3), 52.3 deg, d 1.749, I = 9

Structure:
```
data_La3TcN6
_symmetry_space_group_name_H-M 'P 1 21/c 1'
_symmetry_Int_Tables_number 14
_symmetry_space_group_name_Hall '-P 2ybc'
_cell_length_a 5.902
_cell_length_b 6.134
_cell_length_c 10.135
_cell_angle_alpha 90.00
_cell_angle_beta 124.06
_cell_angle_gamma 90.00
loop_
_atom_site_label
_atom_site_type_symbol
_atom_site_fract_x
_atom_site_fract_y
_atom_site_fract_z
La1 La 0.000 0.000 0.000
La2 La 0.269 0.056 0.747
Tc1 Tc 0.500 0.000 0.500
N1 N 0.167 0.049 0.280
N2 N 0.285 0.680 0.055
N3 N 0.393 0.228 0.071
```